Entry 1:
Calculated X-ray powder pattern of LiCr2O4 for Cu Kα, 1.54184 Å, from a GGA+U-relaxed structure.
Intensities are scaled so that the largest is 1000.

Top 12 peaks for 10 to 90 degrees two-theta, sorted by position:
2θ/deg, I_rel
26.30, 951
26.87, 865
35.58, 1000
40.30, 157
40.70, 162
52.68, 604
53.33, 544
54.12, 193
55.39, 192
62.32, 136
66.91, 202
67.15, 201

Cell and atoms:
Lattice parameters (Å, degrees): 4.733 2.980 4.752 90.00 91.22 90.00
Element x y z (fractional)
Li (0.000, 0.000, 0.000)
Cr (0.000, 0.739, 0.500)
Cr (0.500, 0.261, 0.000)
O (0.198, 0.248, 0.706)
O (0.302, 0.753, 0.191)
O (0.698, 0.753, 0.809)
O (0.802, 0.248, 0.294)

***

Entry 2:
Calculated X-ray powder pattern of CrO for Cu Kα, 1.54184 Å, from a GGA+U-relaxed structure.
Intensities are scaled so that the largest is 1000.

Top 12 peaks for 10 to 90 degrees two-theta, sorted by position:
2θ/deg, I_rel
29.81, 147
33.31, 254
33.53, 1000
34.95, 984
36.39, 202
50.15, 494
58.04, 149
58.74, 185
61.49, 155
61.72, 120
61.91, 236
63.66, 153

Cell and atoms:
Lattice parameters (Å, degrees): 3.109 3.109 5.389 92.06 92.06 105.16
Element x y z (fractional)
Cr (0.000, 0.500, 0.000)
Cr (0.500, 0.000, 0.500)
O (0.013, 0.987, 0.750)
O (0.987, 0.013, 0.250)

***

Entry 3:
Calculated X-ray powder pattern of CoO4 for Cu Kα, 1.54184 Å, from a GGA+U-relaxed structure.
Intensities are scaled so that the largest is 1000.

Top 12 peaks for 10 to 90 degrees two-theta, sorted by position:
2θ/deg, I_rel
16.09, 295
21.18, 1000
22.71, 68
22.95, 262
26.61, 266
27.54, 121
32.07, 193
32.50, 197
35.43, 76
39.28, 114
46.18, 117
48.13, 66

Cell and atoms:
Lattice parameters (Å, degrees): 5.500 6.477 5.516 90.00 90.59 90.00
Element x y z (fractional)
Co (0.175, 0.250, 0.332)
Co (0.825, 0.750, 0.668)
O (0.103, 0.750, 0.756)
O (0.179, 0.250, 0.628)
O (0.308, 0.045, 0.238)
O (0.308, 0.455, 0.238)
O (0.692, 0.545, 0.762)
O (0.692, 0.955, 0.762)
O (0.821, 0.750, 0.372)
O (0.897, 0.250, 0.244)

***

Entry 4:
Calculated X-ray powder pattern of NiS2O12 for Cu Kα, 1.54184 Å, from a GGA+U-relaxed structure.
Intensities are scaled so that the largest is 1000.

Top 12 peaks for 10 to 90 degrees two-theta, sorted by position:
2θ/deg, I_rel
12.41, 301
15.25, 171
15.88, 376
19.08, 148
19.22, 1000
20.76, 561
20.88, 737
22.57, 426
24.57, 698
30.24, 127
30.77, 135
33.49, 147

Cell and atoms:
Lattice parameters (Å, degrees): 6.289 6.992 7.920 73.26 70.58 88.76
Element x y z (fractional)
Ni (0.000, 0.000, 0.000)
S (0.485, 0.426, 0.304)
S (0.515, 0.574, 0.696)
O (0.020, 0.937, 0.775)
O (0.057, 0.753, 0.084)
O (0.192, 0.066, 0.125)
O (0.292, 0.604, 0.685)
O (0.310, 0.265, 0.401)
O (0.438, 0.617, 0.201)
O (0.562, 0.383, 0.799)
O (0.690, 0.735, 0.599)
O (0.708, 0.396, 0.315)
O (0.808, 0.934, 0.875)
O (0.943, 0.247, 0.916)
O (0.980, 0.063, 0.225)